For MgCu2SiTe3S, a GGA-PBE-relaxed structure gives the simulated powder diffraction line list in this record (copper Kα).

Top 12 peaks for 10° ≤ 2θ ≤ 80°, low angle first:
d/Å	2θ/deg	I (rel.)
5.715	15.5	16.9
3.431	26.0	52.5
3.404	26.2	100.0
3.365	26.5	56.3
2.992	29.9	17.2
2.119	42.7	22.1
2.113	42.8	22.3
2.081	43.5	44.5
2.052	44.1	38.8
1.804	50.6	32.0
1.793	50.9	15.9
1.737	52.7	15.0

Unit cell a=5.9848 b=5.9848 c=7.0397 alpha=114.36 beta=114.36 gamma=90.15
Atoms (fractional coordinates):
Mg  0.0000  0.0000  0.0000
Cu  0.3204  0.7699  0.5551
Cu  0.7699  0.3204  0.5551
Si  0.5501  0.5501  0.0213
Te  0.1753  0.1753  0.7567
Te  0.4328  0.9074  0.2958
Te  0.9074  0.4328  0.2958
S  0.6380  0.6380  0.7810



For SmMgCuS3, a GGA-PBE-relaxed structure gives the simulated powder diffraction line list in this record (copper Kα).

Top 12 peaks for 10° ≤ 2θ ≤ 80°, low angle first:
d/Å	2θ/deg	I (rel.)
6.054	14.6	100.0
3.974	22.4	18.1
2.954	30.3	64.8
2.741	32.7	15.4
2.634	34.0	22.7
2.432	37.0	85.8
2.416	37.2	28.8
1.987	45.7	20.4
1.896	48.0	31.9
1.867	48.8	16.5
1.576	58.6	17.0
1.478	62.9	19.9

Unit cell a=6.3352 b=6.3352 c=10.5374 alpha=90.00 beta=90.00 gamma=145.72
Atoms (fractional coordinates):
Sm  0.0000  0.0000  0.0000
Sm  0.0000  0.0000  0.5000
Mg  0.2360  0.7640  0.7500
Mg  0.7640  0.2360  0.2500
Cu  0.4799  0.5201  0.2500
Cu  0.5201  0.4799  0.7500
S  0.1004  0.8996  0.2500
S  0.3506  0.6494  0.0890
S  0.3506  0.6494  0.4110
S  0.6494  0.3506  0.5890
S  0.6494  0.3506  0.9110
S  0.8996  0.1004  0.7500



For MgCu2Sb, a GGA-PBE-relaxed structure gives the simulated powder diffraction line list in this record (copper Kα).

Top 12 peaks for 10° ≤ 2θ ≤ 80°, low angle first:
d/Å	2θ/deg	I (rel.)
6.486	13.7	9.9
3.745	23.8	7.2
2.901	30.8	18.1
2.293	39.3	100.0
2.162	41.8	6.6
1.956	46.4	3.5
1.622	56.8	15.7
1.573	58.7	6.5
1.415	66.0	3.8
1.324	71.2	29.7
1.297	72.9	2.7
1.204	79.6	3.7

Unit cell a=6.4861 b=6.4861 c=6.4861 alpha=90.00 beta=90.00 gamma=90.00
Atoms (fractional coordinates):
Mg  0.0000  0.0000  0.0000
Mg  0.0000  0.0000  0.5000
Mg  0.0000  0.5000  0.0000
Mg  0.5000  0.0000  0.0000
Cu  0.2348  0.2348  0.2348
Cu  0.2348  0.2348  0.7652
Cu  0.2348  0.7652  0.2348
Cu  0.2348  0.7652  0.7652
Cu  0.7652  0.2348  0.2348
Cu  0.7652  0.2348  0.7652
Cu  0.7652  0.7652  0.2348
Cu  0.7652  0.7652  0.7652
Sb  0.0000  0.5000  0.5000
Sb  0.5000  0.0000  0.5000
Sb  0.5000  0.5000  0.0000
Sb  0.5000  0.5000  0.5000



For MgCu2SiTeSe3, a GGA-PBE-relaxed structure gives the simulated powder diffraction line list in this record (copper Kα).

Top 12 peaks for 10° ≤ 2θ ≤ 80°, low angle first:
d/Å	2θ/deg	I (rel.)
5.583	15.9	8.1
3.347	26.6	32.3
3.310	26.9	100.0
2.069	43.7	15.1
2.058	44.0	14.1
2.027	44.7	29.0
2.007	45.2	27.1
1.762	51.9	10.7
1.753	52.2	8.5
1.748	52.4	17.4
1.696	54.1	8.2
1.459	63.8	8.7

Unit cell a=5.8375 b=5.8375 c=6.9031 alpha=114.64 beta=114.64 gamma=89.69
Atoms (fractional coordinates):
Mg  0.0000  0.0000  0.0000
Cu  0.2670  0.7410  0.5332
Cu  0.7410  0.2670  0.5332
Si  0.4840  0.4840  0.0146
Te  0.8627  0.8627  0.2866
Se  0.1383  0.5915  0.7606
Se  0.3889  0.3889  0.2725
Se  0.5915  0.1383  0.7606



For MgCu2SnSe4, a GGA-PBE-relaxed structure gives the simulated powder diffraction line list in this record (copper Kα).

Top 12 peaks for 10° ≤ 2θ ≤ 80°, low angle first:
d/Å	2θ/deg	I (rel.)
5.189	17.1	7.1
4.094	21.7	4.0
3.354	26.6	100.0
2.528	35.5	4.1
2.057	44.0	49.6
2.047	44.2	23.8
1.760	52.0	15.3
1.747	52.4	28.4
1.462	63.7	4.1
1.448	64.4	7.3
1.335	70.6	11.4
1.329	70.9	5.4

Unit cell a=7.1383 b=7.1383 c=7.1383 alpha=132.15 beta=132.15 gamma=70.00
Atoms (fractional coordinates):
Mg  0.0000  0.0000  0.0000
Cu  0.5000  0.5000  0.0000
Cu  0.7500  0.2500  0.5000
Sn  0.2500  0.7500  0.5000
Se  0.1251  0.6025  0.9742
Se  0.3975  0.3717  0.5226
Se  0.6283  0.1509  0.0258
Se  0.8491  0.8749  0.4774



For MgCu2SnSe4, a GGA-PBE-relaxed structure gives the simulated powder diffraction line list in this record (copper Kα).

Top 12 peaks for 10° ≤ 2θ ≤ 80°, low angle first:
d/Å	2θ/deg	I (rel.)
5.846	15.2	7.7
4.097	21.7	8.1
3.355	26.6	100.0
2.380	37.8	4.0
2.067	43.8	25.8
2.049	44.2	47.4
1.760	52.0	30.5
1.738	52.7	13.0
1.461	63.7	8.3
1.436	64.9	3.1
1.340	70.3	6.1
1.330	70.9	10.5

Unit cell a=5.8458 b=5.8458 c=5.7447 alpha=90.00 beta=90.00 gamma=90.00
Atoms (fractional coordinates):
Mg  0.0000  0.0000  0.0000
Cu  0.0000  0.5000  0.5000
Cu  0.5000  0.0000  0.5000
Sn  0.5000  0.5000  0.0000
Se  0.2468  0.2468  0.2764
Se  0.2468  0.7532  0.7236
Se  0.7532  0.2468  0.7236
Se  0.7532  0.7532  0.2764